No. 1
For Pm5SiPb3, a DFT-relaxed cell (PBE, Alexandria) gives the theoretical PXRD pattern in this record (Cu Kα).
Neutral-atom scattering factors, no anomalous dispersion.

Top 10 peaks for 2θ from 5° to 70°, in order of rising 2θ:
two_theta, d/Å, Rel. int.
26.85, 3.321, 22
28.37, 3.146, 18
31.47, 2.843, 100
32.27, 2.774, 60
32.78, 2.732, 84
41.41, 2.180, 24
46.66, 1.947, 19
50.40, 1.810, 27
62.40, 1.488, 18
65.52, 1.425, 16

Crystal structure
```
Pm5SiPb3
1.0
9.611 0.000 0.000
-4.805 8.323 0.000
0.000 0.000 6.641
Pm Si Pb
10 2 6
direct
0.000 0.250 0.250
0.000 0.750 0.750
0.250 0.000 0.250
0.250 0.250 0.750
0.333 0.667 0.000
0.333 0.667 0.500
0.667 0.333 0.000
0.667 0.333 0.500
0.750 0.000 0.750
0.750 0.750 0.250
0.000 0.000 0.000
0.000 0.000 0.500
0.000 0.390 0.750
0.000 0.610 0.250
0.390 0.000 0.750
0.390 0.390 0.250
0.610 0.000 0.250
0.610 0.610 0.750
```

No. 2
For PmSmPb4, a DFT-relaxed cell (PBE, Alexandria) gives the theoretical PXRD pattern in this record (Cu Kα).
Neutral-atom scattering factors, no anomalous dispersion.

Top 10 peaks for 2θ from 5° to 70°, in order of rising 2θ:
two_theta, d/Å, Rel. int.
27.60, 3.232, 28
29.76, 3.002, 100
30.61, 2.921, 19
33.04, 2.711, 23
34.06, 2.632, 26
34.92, 2.569, 56
38.14, 2.360, 13
43.71, 2.071, 13
57.39, 1.606, 11
60.22, 1.537, 13

Crystal structure
```
PmSmPb4
1.0
4.615 -7.004 0.000
4.615 7.004 0.000
-3.294 0.000 5.841
Pm Sm Pb
2 2 8
direct
0.085 0.915 0.750
0.915 0.085 0.250
0.231 0.769 0.250
0.769 0.231 0.750
0.147 0.502 0.712
0.238 0.358 0.123
0.358 0.238 0.623
0.498 0.853 0.788
0.502 0.147 0.212
0.642 0.762 0.377
0.762 0.642 0.877
0.853 0.498 0.288
```

No. 3
For Pm3SmPb, a DFT-relaxed cell (PBE, Alexandria) gives the theoretical PXRD pattern in this record (Cu Kα).
Neutral-atom scattering factors, no anomalous dispersion.

Top 10 peaks for 2θ from 5° to 70°, in order of rising 2θ:
two_theta, d/Å, Rel. int.
28.13, 3.172, 44
29.69, 3.009, 89
29.88, 2.990, 54
30.66, 2.916, 24
31.08, 2.877, 100
31.78, 2.815, 34
32.67, 2.741, 66
34.83, 2.576, 23
36.00, 2.495, 33
50.52, 1.807, 23

Crystal structure
```
Pm3SmPb
1.0
9.188 0.000 0.000
0.000 8.782 0.000
-5.147 0.000 8.274
Pm Sm Pb
12 4 4
direct
0.083 0.082 0.292
0.083 0.418 0.792
0.286 0.063 0.711
0.286 0.437 0.211
0.413 0.697 0.956
0.413 0.803 0.456
0.587 0.197 0.544
0.587 0.303 0.044
0.714 0.563 0.789
0.714 0.937 0.289
0.917 0.582 0.208
0.917 0.918 0.708
0.283 0.063 0.071
0.283 0.437 0.571
0.717 0.563 0.429
0.717 0.937 0.929
0.095 0.750 0.047
0.095 0.750 0.547
0.905 0.250 0.453
0.905 0.250 0.953
```

No. 4
For Pm5SmPb5, a DFT-relaxed cell (PBE, Alexandria) gives the theoretical PXRD pattern in this record (Cu Kα).
Neutral-atom scattering factors, no anomalous dispersion.

Top 10 peaks for 2θ from 5° to 70°, in order of rising 2θ:
two_theta, d/Å, Rel. int.
28.00, 3.186, 100
38.89, 2.316, 14
40.00, 2.254, 52
41.20, 2.191, 12
48.57, 1.874, 15
50.52, 1.807, 14
57.94, 1.592, 9
63.94, 1.456, 7
65.41, 1.427, 12
65.54, 1.424, 12

Crystal structure
```
Pm5SmPb5
1.0
7.284 -3.192 0.000
7.284 3.192 0.000
-2.637 0.000 8.359
Pm Sm Pb
5 1 5
direct
0.000 0.000 0.000
0.333 0.333 0.668
0.334 0.334 0.165
0.666 0.666 0.835
0.667 0.667 0.332
0.000 0.000 0.500
0.165 0.165 0.330
0.165 0.165 0.834
0.500 0.500 0.500
0.835 0.835 0.166
0.835 0.835 0.670
```

No. 5
For Pm6Sm8Pb, a DFT-relaxed cell (PBE, Alexandria) gives the theoretical PXRD pattern in this record (Cu Kα).
Neutral-atom scattering factors, no anomalous dispersion.

Top 10 peaks for 2θ from 5° to 70°, in order of rising 2θ:
two_theta, d/Å, Rel. int.
25.61, 3.478, 23
28.97, 3.082, 38
31.99, 2.798, 100
32.96, 2.717, 46
39.86, 2.262, 13
42.22, 2.140, 11
50.67, 1.801, 18
51.31, 1.781, 18
61.77, 1.502, 20
65.21, 1.431, 11

Crystal structure
```
Pm6Sm8Pb
1.0
9.423 0.000 0.000
-4.711 8.161 0.000
0.000 0.000 6.650
Pm Sm Pb
6 8 1
direct
0.092 0.647 0.169
0.353 0.445 0.169
0.445 0.092 0.831
0.555 0.908 0.169
0.647 0.555 0.831
0.908 0.353 0.831
0.038 0.770 0.678
0.230 0.268 0.678
0.268 0.038 0.322
0.333 0.667 0.633
0.667 0.333 0.367
0.732 0.962 0.678
0.770 0.732 0.322
0.962 0.230 0.322
0.000 0.000 0.000
```

No. 6
For Pm5Sm12Pb2, a DFT-relaxed cell (PBE, Alexandria) gives the theoretical PXRD pattern in this record (Cu Kα).
Neutral-atom scattering factors, no anomalous dispersion.

Top 10 peaks for 2θ from 5° to 70°, in order of rising 2θ:
two_theta, d/Å, Rel. int.
29.23, 3.055, 34
29.78, 3.000, 77
30.24, 2.956, 35
30.45, 2.935, 43
31.52, 2.838, 86
31.84, 2.810, 100
32.87, 2.725, 63
34.84, 2.575, 56
35.66, 2.517, 36
57.10, 1.613, 38

Crystal structure
```
Pm5Sm12Pb2
1.0
7.776 -4.802 0.000
7.776 4.802 0.000
-0.449 0.000 8.585
Pm Sm Pb
5 12 2
direct
0.000 0.000 0.000
0.235 0.235 0.087
0.317 0.317 0.499
0.683 0.683 0.501
0.765 0.765 0.913
0.034 0.668 0.266
0.080 0.080 0.381
0.183 0.571 0.846
0.332 0.966 0.734
0.429 0.817 0.154
0.448 0.448 0.186
0.552 0.552 0.814
0.571 0.183 0.846
0.668 0.034 0.266
0.817 0.429 0.154
0.920 0.920 0.619
0.966 0.332 0.734
0.306 0.694 0.500
0.694 0.306 0.500
```

No. 7
For PmSm2Pb9, a DFT-relaxed cell (PBE, Alexandria) gives the theoretical PXRD pattern in this record (Cu Kα).
Neutral-atom scattering factors, no anomalous dispersion.

Top 9 peaks for 2θ from 5° to 70°, in order of rising 2θ:
two_theta, d/Å, Rel. int.
18.06, 4.912, 1
25.65, 3.473, 1
31.55, 2.836, 100
36.59, 2.456, 51
41.09, 2.197, 1
45.22, 2.005, 1
52.71, 1.737, 36
62.73, 1.481, 43
65.87, 1.418, 13

Crystal structure
```
PmSm2Pb9
1.0
4.912 0.000 0.000
0.000 4.912 0.000
0.000 0.000 14.739
Pm Sm Pb
1 2 9
direct
0.000 0.000 0.000
0.000 0.000 0.334
0.000 0.000 0.666
0.000 0.500 0.167
0.000 0.500 0.500
0.000 0.500 0.833
0.500 0.000 0.167
0.500 0.000 0.500
0.500 0.000 0.833
0.500 0.500 0.000
0.500 0.500 0.334
0.500 0.500 0.666
```

No. 8
For Pm12Sm6Pb, a DFT-relaxed cell (PBE, Alexandria) gives the theoretical PXRD pattern in this record (Cu Kα).
Neutral-atom scattering factors, no anomalous dispersion.

Top 10 peaks for 2θ from 5° to 70°, in order of rising 2θ:
two_theta, d/Å, Rel. int.
10.29, 8.597, 9
28.60, 3.122, 23
31.24, 2.863, 100
31.94, 2.802, 60
34.16, 2.625, 17
35.46, 2.531, 12
48.34, 1.883, 18
56.41, 1.631, 15
58.01, 1.590, 10
60.68, 1.526, 11

Crystal structure
```
Pm12Sm6Pb
1.0
6.627 3.826 4.325
-6.627 3.826 4.325
0.000 -7.653 4.325
Pm Sm Pb
12 6 1
direct
0.000 0.259 0.741
0.000 0.741 0.259
0.172 0.580 0.580
0.259 0.000 0.741
0.259 0.741 0.000
0.420 0.420 0.828
0.420 0.828 0.420
0.580 0.172 0.580
0.580 0.580 0.172
0.741 0.000 0.259
0.741 0.259 0.000
0.828 0.420 0.420
0.135 0.135 0.407
0.135 0.407 0.135
0.407 0.135 0.135
0.593 0.865 0.865
0.865 0.593 0.865
0.865 0.865 0.593
0.000 0.000 0.000
```